# 1
# HoAlSi2Ir5
Calculated powder diffractogram, Cu Kα X-rays. Input: the PBE geometry in Alexandria.
No peak broadening, texture or thermal motion is included.

Top 12 peaks for 2θ from 10° to 90°, in order of rising 2θ:
2theta  I/Imax  (hkl)
26.45  74  0 0 3
32.70  100  1 1 1
36.24  39  1 1 2
41.55  15  1 1 3
45.07  49  2 0 0
48.16  62  1 1 4
53.02  45  2 0 3
65.64  16  2 2 0
72.08  18  2 2 3
73.55  17  1 1 7
75.29  19  3 1 1
85.44  25  3 1 4

Structure:
```
data_HoAlSi2Ir5
_chemical_formula_sum 'Ho1 Al1 Si2 Ir5'
_cell_length_a 4.0228
_cell_length_b 4.0228
_cell_length_c 10.1091
_cell_angle_alpha 90.00
_cell_angle_beta 90.00
_cell_angle_gamma 90.00
_space_group_name_H-M_alt 'P 4/m m m'
_space_group_IT_number 123
_space_group_name_Hall '-P 4 2'
loop_
_atom_site_label
_atom_site_fract_x
_atom_site_fract_y
_atom_site_fract_z
_atom_site_occupancy
Ho1 0.0000 0.0000 0.0000 1
Al1 0.0000 0.0000 0.5000 1
Si1 0.5000 0.5000 0.2292 1
Ir1 0.0000 0.5000 0.3502 1
Ir2 0.5000 0.5000 0.0000 1
```

=====

# 2
# Nd3Cd2Rh
Calculated powder diffractogram, Cu Kα X-rays. Input: the PBE geometry in Alexandria.
No peak broadening, texture or thermal motion is included.

Top 12 peaks for 2θ from 10° to 90°, in order of rising 2θ:
2theta  I/Imax  (hkl)
30.24  64  1 1 2
30.92  53  5 1 0
31.47  30  6 0 0
32.59  100  4 0 2
32.84  83  0 2 0
33.77  79  3 1 2
40.53  34  7 1 0
46.12  21  6 2 0
46.94  72  4 2 2
50.82  24  0 0 4
61.83  26  0 2 4
70.15  25  10 2 2

Structure:
```
data_Nd3Cd2Rh
_chemical_formula_sum 'Nd12 Cd8 Rh4'
_cell_length_a 17.0545
_cell_length_b 5.4551
_cell_length_c 7.1869
_cell_angle_alpha 90.00
_cell_angle_beta 90.00
_cell_angle_gamma 90.00
_space_group_name_H-M_alt 'C m c m'
_space_group_IT_number 63
_space_group_name_Hall '-C 2c 2'
loop_
_atom_site_label
_atom_site_fract_x
_atom_site_fract_y
_atom_site_fract_z
_atom_site_occupancy
Nd1 0.0000 0.0058 0.2500 1
Nd2 0.1347 0.5000 0.0000 1
Cd1 0.1981 0.0006 0.2500 1
Rh1 0.0000 0.4940 0.7500 1
```

=====

# 3
# LiO2
Calculated powder diffractogram, Cu Kα X-rays. Input: the PBE geometry in Alexandria.
No peak broadening, texture or thermal motion is included.

Top 12 peaks for 2θ from 10° to 90°, in order of rising 2θ:
2theta  I/Imax  (hkl)
27.64  71  1 0 1
30.46  100  0 0 2
35.73  56  0 2 0
42.67  7  1 1 2
45.76  29  1 2 1
47.64  77  0 2 2
52.43  10  1 0 3
57.07  17  2 0 2
60.44  13  2 2 0
63.40  13  0 0 4
75.58  9  3 0 1
86.51  10  3 2 1

Structure:
```
data_LiO2
_chemical_formula_sum 'Li4 O8'
_cell_length_a 3.8643
_cell_length_b 5.0262
_cell_length_c 5.8686
_cell_angle_alpha 90.00
_cell_angle_beta 90.00
_cell_angle_gamma 90.00
_space_group_name_H-M_alt 'I m m m'
_space_group_IT_number 71
_space_group_name_Hall '-I 2 2'
loop_
_atom_site_label
_atom_site_fract_x
_atom_site_fract_y
_atom_site_fract_z
_atom_site_occupancy
Li1 0.0000 0.0000 0.2336 1
O1 0.1748 0.2652 0.5000 1
```